[1]
Diffraction record for Ac2PrHo6. The XRD peak list is theoretical, not measured: it uses the PBE geometry in Alexandria and Cu Ka.
Lines closer than 0.1° are merged.

Cell and atoms:
```
Ac2PrHo6
1.0
3.1326 -5.4688 0.0000
3.1326 5.4688 0.0000
0.0000 0.0000 9.0295
Ac Pr Ho
2 1 6
Cartesian
1.5663 2.7344 1.4309 Ac
1.5663 -2.7344 7.5986 Ac
0.0000 0.0000 4.5148 Pr
1.5749 0.8498 7.4584 Ho
1.5749 -0.8498 1.5711 Ho
3.1326 1.7741 4.5148 Ho
3.1326 -1.7741 4.5148 Ho
4.6902 0.8498 1.5711 Ho
4.6902 -0.8498 7.4584 Ho
```

Top 6 peaks for 5° ≤ 2θ ≤ 70°, sorted by position:
2θ = 29.7°, rel. 56; 2θ = 30.0°, rel. 100; 2θ = 30.2°, rel. 45; 2θ = 34.7°, rel. 67; 2θ = 34.9°, rel. 32; 2θ = 59.0°, rel. 29

[2]
Diffraction record for Rb8Zr6BBr20. The XRD peak list is theoretical, not measured: it uses the PBE geometry in Alexandria and Cu Ka.
Lines closer than 0.1° are merged.

Cell and atoms:
```
Rb8Zr6BBr20
1.0
0.0000 8.5239 8.5239
8.5239 0.0000 8.5239
8.5239 8.5239 0.0000
Rb Zr B Br
8 6 1 20
Cartesian
2.3762 2.3762 2.3762 Rb
6.1477 6.1477 2.3762 Rb
6.1477 2.3762 6.1477 Rb
14.6716 10.9001 10.9001 Rb
2.3762 6.1477 6.1477 Rb
10.9001 14.6716 10.9001 Rb
10.9001 10.9001 14.6716 Rb
14.6716 14.6716 14.6716 Rb
8.5239 8.5239 6.1911 Zr
8.5239 6.1911 8.5239 Zr
10.8567 8.5239 8.5239 Zr
6.1911 8.5239 8.5239 Zr
8.5239 10.8567 8.5239 Zr
8.5239 8.5239 10.8567 Zr
8.5239 8.5239 8.5239 B
8.5239 5.8031 5.8031 Br
11.2447 8.5239 5.8031 Br
11.2447 5.8031 8.5239 Br
8.5239 8.5239 3.2526 Br
8.5239 3.2526 8.5239 Br
13.7952 8.5239 8.5239 Br
4.2619 4.2619 4.2619 Br
5.8031 8.5239 5.8031 Br
8.5239 11.2447 5.8031 Br
5.8031 5.8031 8.5239 Br
11.2447 11.2447 8.5239 Br
8.5239 5.8031 11.2447 Br
11.2447 8.5239 11.2447 Br
12.7858 12.7858 12.7858 Br
3.2526 8.5239 8.5239 Br
8.5239 13.7952 8.5239 Br
8.5239 8.5239 13.7952 Br
5.8031 11.2447 8.5239 Br
5.8031 8.5239 11.2447 Br
8.5239 11.2447 11.2447 Br
```

Top 6 peaks for 5° ≤ 2θ ≤ 70°, sorted by position:
2θ = 9.0°, rel. 47; 2θ = 10.4°, rel. 30; 2θ = 27.2°, rel. 83; 2θ = 31.0°, rel. 45; 2θ = 31.5°, rel. 100; 2θ = 45.1°, rel. 59

[3]
Diffraction record for Pa3TlS6. The XRD peak list is theoretical, not measured: it uses the PBE geometry in Alexandria and Cu Ka.
Lines closer than 0.1° are merged.

Cell and atoms:
```
Pa3TlS6
1.0
10.2363 0.0000 0.0000
0.0000 4.0950 0.0000
-3.4971 0.0000 12.3741
Pa Tl S
6 2 12
Cartesian
-0.2424 1.0237 1.8604 Pa
-0.1236 1.0237 8.5339 Pa
1.6982 3.0712 5.2640 Pa
5.0409 1.0237 7.1101 Pa
6.8627 3.0712 3.8402 Pa
6.9816 3.0712 10.5137 Pa
3.9605 1.0237 0.9856 Tl
2.7787 3.0712 11.3885 Tl
-0.6834 3.0712 3.6767 S
1.1907 3.0712 0.7035 S
-0.4984 3.0712 6.8588 S
-0.3534 3.0712 10.3234 S
2.0513 1.0237 3.4846 S
2.2662 1.0237 7.1525 S
4.4730 3.0712 5.2216 S
4.6879 3.0712 8.8895 S
7.0926 1.0237 2.0507 S
7.2375 1.0237 5.5153 S
5.5485 1.0237 11.6706 S
7.4226 1.0237 8.6974 S
```

Top 6 peaks for 5° ≤ 2θ ≤ 70°, sorted by position:
2θ = 21.2°, rel. 45; 2θ = 24.1°, rel. 34; 2θ = 25.6°, rel. 25; 2θ = 26.1°, rel. 100; 2θ = 28.0°, rel. 61; 2θ = 44.2°, rel. 27

[4]
Diffraction record for CoRe4Hg. The XRD peak list is theoretical, not measured: it uses the PBE geometry in Alexandria and Cu Ka.
Lines closer than 0.1° are merged.

Cell and atoms:
```
CoRe4Hg
1.0
0.0000 3.6803 3.6803
3.6803 0.0000 3.6803
3.6803 3.6803 0.0000
Co Re Hg
1 4 1
Cartesian
0.0000 0.0000 0.0000 Co
2.7594 2.7594 2.7594 Re
4.6013 4.6013 2.7594 Re
4.6013 2.7594 4.6013 Re
2.7594 4.6013 4.6013 Re
5.5205 5.5205 5.5205 Hg
```

Top 6 peaks for 5° ≤ 2θ ≤ 70°, sorted by position:
2θ = 20.9°, rel. 24; 2θ = 34.5°, rel. 17; 2θ = 40.7°, rel. 100; 2θ = 42.5°, rel. 52; 2θ = 49.5°, rel. 10; 2θ = 65.9°, rel. 32

[5]
Diffraction record for In4As5Br3O12. The XRD peak list is theoretical, not measured: it uses the PBE geometry in Alexandria and Cu Ka.
Lines closer than 0.1° are merged.

Cell and atoms:
```
In4As5Br3O12
1.0
8.1566 0.0000 0.0000
1.8096 10.6090 0.0000
2.3035 4.0278 11.6371
In As Br O
8 10 6 24
Cartesian
0.0000 0.0000 0.0000 In
0.9048 5.3045 0.0000 In
2.7867 4.1830 6.0268 In
2.5240 2.2804 0.1664 In
6.4016 11.5094 11.4609 In
5.8683 3.1274 0.1761 In
9.7459 12.3565 11.4707 In
9.4831 10.4538 5.6103 In
1.8801 7.9378 2.2101 As
3.9759 12.7596 8.7166 As
3.2493 4.8716 2.6161 As
5.9075 8.8654 9.5752 As
5.1457 3.4406 9.5399 As
7.1241 11.1963 2.0972 As
6.3624 5.7715 2.0619 As
9.0205 9.7652 9.0209 As
8.2939 1.8772 2.9205 As
10.3897 6.6991 9.4270 As
3.2249 9.0846 6.6032 Br
3.0680 1.9558 4.7814 Br
4.9561 5.4788 5.9221 Br
7.3138 9.1581 5.7150 Br
9.2019 12.6811 6.8557 Br
9.0449 5.5523 5.0339 Br
0.9975 1.3271 1.4131 O
2.4581 3.7562 8.0382 O
3.5031 7.5126 10.4625 O
2.7508 8.8328 0.9014 O
2.1928 4.1029 1.3959 O
3.1544 6.6082 1.9652 O
5.0249 10.0070 10.6928 O
4.2038 4.5897 10.5959 O
5.6976 12.6909 9.5840 O
6.3584 7.5059 10.6828 O
4.8784 4.6636 1.7195 O
4.4370 1.5489 0.8253 O
7.8328 13.0879 10.8118 O
7.3915 9.9732 9.9176 O
5.9115 7.1310 0.9543 O
6.5722 1.9459 2.0531 O
8.0660 10.0472 1.0412 O
7.2450 4.6299 0.9443 O
9.1154 8.0287 9.6719 O
10.0771 10.5340 10.2412 O
9.5191 5.8040 10.7357 O
8.7668 7.1243 1.1746 O
9.8117 10.8807 3.5989 O
11.2723 13.3098 10.2240 O
```

Top 6 peaks for 5° ≤ 2θ ≤ 70°, sorted by position:
2θ = 7.6°, rel. 100; 2θ = 15.2°, rel. 39; 2θ = 19.2°, rel. 28; 2θ = 28.6°, rel. 50; 2θ = 29.2°, rel. 66; 2θ = 30.4°, rel. 38

Copy entry 3 word for word.
Diffraction record for Pa3TlS6. The XRD peak list is theoretical, not measured: it uses the PBE geometry in Alexandria and Cu Ka.
Lines closer than 0.1° are merged.

Cell and atoms:
```
Pa3TlS6
1.0
10.2363 0.0000 0.0000
0.0000 4.0950 0.0000
-3.4971 0.0000 12.3741
Pa Tl S
6 2 12
Cartesian
-0.2424 1.0237 1.8604 Pa
-0.1236 1.0237 8.5339 Pa
1.6982 3.0712 5.2640 Pa
5.0409 1.0237 7.1101 Pa
6.8627 3.0712 3.8402 Pa
6.9816 3.0712 10.5137 Pa
3.9605 1.0237 0.9856 Tl
2.7787 3.0712 11.3885 Tl
-0.6834 3.0712 3.6767 S
1.1907 3.0712 0.7035 S
-0.4984 3.0712 6.8588 S
-0.3534 3.0712 10.3234 S
2.0513 1.0237 3.4846 S
2.2662 1.0237 7.1525 S
4.4730 3.0712 5.2216 S
4.6879 3.0712 8.8895 S
7.0926 1.0237 2.0507 S
7.2375 1.0237 5.5153 S
5.5485 1.0237 11.6706 S
7.4226 1.0237 8.6974 S
```

Top 6 peaks for 5° ≤ 2θ ≤ 70°, sorted by position:
2θ = 21.2°, rel. 45; 2θ = 24.1°, rel. 34; 2θ = 25.6°, rel. 25; 2θ = 26.1°, rel. 100; 2θ = 28.0°, rel. 61; 2θ = 44.2°, rel. 27